# Na2TiAlP3O12
Theoretical powder XRD pattern, copper Kα. Input: a cell relaxed with PBE.

Structure:
```
Na2TiAlP3O12
1.0
7.474 -4.279 0.000
7.474 4.279 0.000
-4.961 0.000 7.325
Na Ti Al P O
4 2 2 6 24
Direct
0.114 0.886 0.500 Na
0.499 0.998 0.748 Na
0.886 0.114 0.000 Na
0.998 0.499 0.248 Na
0.149 0.640 0.693 Ti
0.640 0.149 0.193 Ti
0.357 0.852 0.308 Al
0.852 0.357 0.808 Al
0.040 0.249 0.502 P
0.249 0.040 0.002 P
0.467 0.541 0.505 P
0.541 0.467 0.005 P
0.742 0.966 0.505 P
0.966 0.742 0.005 P
0.008 0.268 0.668 O
0.065 0.425 0.523 O
0.070 0.218 0.976 O
0.136 0.776 0.176 O
0.218 0.070 0.476 O
0.224 0.866 0.828 O
0.268 0.008 0.168 O
0.281 0.569 0.521 O
0.364 0.493 0.833 O
0.425 0.065 0.023 O
0.429 0.722 0.477 O
0.493 0.364 0.333 O
0.507 0.639 0.172 O
0.569 0.281 0.021 O
0.569 0.934 0.476 O
0.639 0.507 0.672 O
0.722 0.429 0.977 O
0.729 0.993 0.336 O
0.776 0.136 0.676 O
0.784 0.924 0.022 O
0.866 0.224 0.328 O
0.924 0.784 0.522 O
0.934 0.569 0.976 O
0.993 0.729 0.836 O
```

Main lines, low angle first (10° ≤ 2θ ≤ 90°):
2θ = 14.34°, I = 35
2θ = 20.09°, I = 33
2θ = 20.63°, I = 15
2θ = 23.97°, I = 100
2θ = 24.09°, I = 46
2θ = 24.31°, I = 18
2θ = 29.04°, I = 25
2θ = 32.04°, I = 56
2θ = 32.15°, I = 73
2θ = 36.29°, I = 21
2θ = 46.28°, I = 13
2θ = 49.33°, I = 14